Fe4O3F5: simulated XRD peak list (CuKα), based on a DFT-relaxed cell (GGA+U, Alexandria).

Crystal structure
```
data_Fe4O3F5
_chemical_formula_sum 'Fe8 O6 F10'
_space_group_name_H-M_alt 'P 1'
_space_group_IT_number 1
_space_group_name_Hall 'P 1'
_cell_length_a 4.8287
_cell_length_b 6.1472
_cell_length_c 9.5337
_cell_angle_alpha 89.98
_cell_angle_beta 89.02
_cell_angle_gamma 89.93
loop_
_atom_site_label
_atom_site_type_symbol
_atom_site_fract_x
_atom_site_fract_y
_atom_site_fract_z
_atom_site_occupancy
Fe1 Fe 0.0000 0.0000 0.0000 1
Fe2 Fe 0.0034 0.0029 0.5110 1
Fe3 Fe 0.4312 0.2523 0.2415 1
Fe4 Fe 0.4821 0.7569 0.2670 1
Fe5 Fe 0.5329 0.2534 0.7437 1
Fe6 Fe 0.5512 0.7514 0.7663 1
Fe7 Fe 0.9421 0.5056 0.0288 1
Fe8 Fe 0.9826 0.5084 0.5251 1
O1 O 0.1603 0.2620 0.1018 1
O2 O 0.2922 0.0020 0.3580 1
O3 O 0.6581 0.5052 0.1785 1
O4 O 0.6878 0.5112 0.6660 1
O5 O 0.7214 0.9994 0.6634 1
O6 O 0.8055 0.7413 0.9158 1
F1 F 0.1817 0.7388 0.1202 1
F2 F 0.2076 0.2431 0.6127 1
F3 F 0.2187 0.7701 0.6123 1
F4 F 0.2858 0.5046 0.3709 1
F5 F 0.3118 0.5026 0.8514 1
F6 F 0.3413 0.0022 0.8523 1
F7 F 0.6623 0.0025 0.1599 1
F8 F 0.7811 0.2665 0.9089 1
F9 F 0.7979 0.7664 0.4073 1
F10 F 0.8017 0.2415 0.4155 1
```

Largest 10 diffraction maxima, by angle, 10 to 90 degrees two-theta:
d/Å  2θ (°)  I_rel  hkl
3.421  26.05  96  1 0 2
3.363  26.50  100  1 0 -2
2.593  34.59  49  1 2 0
2.583  34.73  52  0 2 -2
2.286  39.41  20  1 2 2
1.772  51.58  26  2 2 2
1.763  51.87  29  1 -2 4
1.747  52.38  28  1 2 -4
1.537  60.22  18  0 4 0
1.411  66.22  19  0 2 -6